No. 1
Diffraction record for Ge2Sb2Te5. The X-ray powder pattern is simulated, not measured: it uses a crystal structure in Alexandria, relaxed with PBE and Cu Ka.
Lines closer than 0.1° are merged.

Cell and atoms:
```
data_Ge2Sb2Te5
_symmetry_space_group_name_H-M 'C 1 m 1'
_symmetry_Int_Tables_number 8
_cell_length_a 13.668
_cell_length_b 6.115
_cell_length_c 9.641
_cell_angle_alpha 90.00
_cell_angle_beta 134.15
_cell_angle_gamma 90.00
loop_
_symmetry_equiv_pos_as_xyz
'x,y,z'
'x,-y,z'
'x+1/2,y+1/2,z'
'x+1/2,-y+1/2,z'
loop_
_atom_site_label
_atom_site_type_symbol
_atom_site_fract_x
_atom_site_fract_y
_atom_site_fract_z
Ge1 Ge 0.000 0.000 0.000
Ge2 Ge 0.093 0.500 0.380
Sb1 Sb 0.195 0.000 0.814
Sb2 Sb 0.328 0.500 0.227
Te1 Te 0.019 0.500 0.033
Te2 Te 0.119 0.000 0.428
Te3 Te 0.228 0.500 0.835
Te4 Te 0.324 0.000 0.237
Te5 Te 0.417 0.500 0.639
```

Main lines, low angle first (2θ from 10° to 80°):
Position (°2θ)	I_rel	h k l
28.9	49	4 0 -1
29.2	100	0 2 0
41.1	18	2 0 2
41.6	38	4 2 -1
41.7	37	2 2 -3
42.0	18	6 0 -4
51.2	19	2 2 2
52.0	19	6 2 -4
68.6	16	2 4 -3
76.4	11	6 4 -4

***

No. 2
Diffraction record for Ba2Sr8Cd. The X-ray powder pattern is simulated, not measured: it uses a crystal structure in Alexandria, relaxed with PBE and Cu Ka.
Lines closer than 0.1° are merged.

Cell and atoms:
```
data_Ba2Sr8Cd
_symmetry_space_group_name_H-M 'C 1 2/m 1'
_symmetry_Int_Tables_number 12
_cell_length_a 21.844
_cell_length_b 6.667
_cell_length_c 7.921
_cell_angle_alpha 90.00
_cell_angle_beta 91.06
_cell_angle_gamma 90.00
loop_
_symmetry_equiv_pos_as_xyz
'x,y,z'
'-x,-y,-z'
'-x,y,-z'
'x,-y,z'
'x+1/2,y+1/2,z'
'-x+1/2,-y+1/2,-z'
'-x+1/2,y+1/2,-z'
'x+1/2,-y+1/2,z'
loop_
_atom_site_label
_atom_site_type_symbol
_atom_site_fract_x
_atom_site_fract_y
_atom_site_fract_z
Ba1 Ba 0.226 0.000 0.152
Sr1 Sr 0.034 0.000 0.255
Sr2 Sr 0.082 0.500 0.894
Sr3 Sr 0.152 0.500 0.387
Sr4 Sr 0.155 0.000 0.671
Cd1 Cd 0.000 0.500 0.500
```

Main lines, low angle first (2θ from 10° to 80°):
Position (°2θ)	I_rel	h k l
24.4	9	5 1 0
26.6	66	1 1 2
26.7	100	0 2 0
27.2	24	6 0 1
37.6	11	4 0 -3
38.5	19	6 2 1
46.7	15	4 2 -3
47.1	14	1 3 2
47.2	16	5 3 -1
55.1	10	0 4 0